1.
Computed powder X-ray diffraction pattern of MgCdTe2 for Cu Kα (λ = 1.5418 Å), from a crystal structure in the Materials Project, relaxed with PBE.
Peak positions follow from Bragg's law for the DFT cell and can differ from measured ones.

Cell and atoms:
```
data_MgCdTe2
_cell_length_a 6.562
_cell_length_b 6.562
_cell_length_c 13.155
_cell_angle_alpha 90.00
_cell_angle_beta 90.00
_cell_angle_gamma 90.00
_symmetry_space_group_name_H-M 'I -4 2 d'
_symmetry_Int_Tables_number 122
_symmetry_space_group_name_Hall 'I -4 2bw'
loop_
_atom_site_label
_atom_site_type_symbol
_atom_site_fract_x
_atom_site_fract_y
_atom_site_fract_z
Mg1 Mg 0.000 0.000 0.000
Cd1 Cd 0.000 0.000 0.500
Te1 Te 0.243 0.750 0.125
```

Top 10 peaks for 15 to 90 degrees two-theta, by angle:
two_theta  I (rel.)  index
15.09  11  1 0 1
23.46  100  1 1 2
27.16  7  0 0 4
38.79  74  2 0 4
45.83  49  1 1 6
56.06  8  4 0 0
61.56  20  3 1 6
70.21  25  2 2 8
75.22  11  3 3 6
88.03  10  5 1 6

---

2.
Computed powder X-ray diffraction pattern of K6Na14Tl18Cd for Cu Kα (λ = 1.5418 Å), from a crystal structure in the Materials Project, relaxed with PBE.
Peak positions follow from Bragg's law for the DFT cell and can differ from measured ones.

Cell and atoms:
```
data_K6Na14Tl18Cd
_cell_length_a 10.856
_cell_length_b 10.856
_cell_length_c 10.856
_cell_angle_alpha 90.00
_cell_angle_beta 90.00
_cell_angle_gamma 90.00
_symmetry_space_group_name_H-M 'P m -3'
_symmetry_Int_Tables_number 200
_symmetry_space_group_name_Hall '-P 2 2 3'
loop_
_atom_site_label
_atom_site_type_symbol
_atom_site_fract_x
_atom_site_fract_y
_atom_site_fract_z
K1 K 0.000 0.312 0.500
Na1 Na 0.000 0.500 0.170
Na2 Na 0.219 0.219 0.219
Tl1 Tl 0.000 0.000 0.220
Tl2 Tl 0.246 0.500 0.345
Cd1 Cd 0.500 0.500 0.500
```

Top 10 peaks for 15 to 90 degrees two-theta, by angle:
two_theta  I (rel.)  index
18.27  23  2 0 1
29.67  38  3 0 2
30.82  33  3 1 2
33.00  35  4 0 0
34.05  100  3 2 2
35.07  24  4 1 1
37.03  29  4 2 0
37.98  22  4 2 1
54.09  23  4 4 3
59.61  21  6 3 2

---

3.
Computed powder X-ray diffraction pattern of MgV4Cu2S8 for Cu Kα (λ = 1.5418 Å), from a crystal structure in the Materials Project, relaxed with PBE.
Peak positions follow from Bragg's law for the DFT cell and can differ from measured ones.

Cell and atoms:
```
data_MgV4Cu2S8
_cell_length_a 7.428
_cell_length_b 7.428
_cell_length_c 9.870
_cell_angle_alpha 90.00
_cell_angle_beta 90.00
_cell_angle_gamma 90.00
_symmetry_space_group_name_H-M 'I -4 m 2'
_symmetry_Int_Tables_number 119
_symmetry_space_group_name_Hall 'I -4 -2'
loop_
_atom_site_label
_atom_site_type_symbol
_atom_site_fract_x
_atom_site_fract_y
_atom_site_fract_z
Mg1 Mg 0.000 0.000 0.000
V1 V 0.000 0.312 0.859
Cu1 Cu 0.000 0.000 0.500
Cu2 Cu 0.000 0.500 0.250
S1 S 0.000 0.254 0.630
S2 S 0.000 0.259 0.115
```

Top 10 peaks for 15 to 90 degrees two-theta, by angle:
two_theta  I (rel.)  index
23.96  53  2 0 0
24.75  84  1 1 2
28.35  90  2 1 1
29.70  35  1 0 3
34.14  33  2 2 0
42.63  41  3 1 2
44.95  39  3 2 1
47.67  23  1 0 5
49.05  51  4 0 0
50.77  100  2 2 4

---

4.
Computed powder X-ray diffraction pattern of ScPd3C for Cu Kα (λ = 1.5418 Å), from a crystal structure in the Materials Project, relaxed with PBE.
Peak positions follow from Bragg's law for the DFT cell and can differ from measured ones.

Cell and atoms:
```
data_ScPd3C
_cell_length_a 4.212
_cell_length_b 4.212
_cell_length_c 4.212
_cell_angle_alpha 90.00
_cell_angle_beta 90.00
_cell_angle_gamma 90.00
_symmetry_space_group_name_H-M 'P m -3 m'
_symmetry_Int_Tables_number 221
_symmetry_space_group_name_Hall '-P 4 2 3'
loop_
_atom_site_label
_atom_site_type_symbol
_atom_site_fract_x
_atom_site_fract_y
_atom_site_fract_z
Sc1 Sc 0.000 0.000 0.000
Pd1 Pd 0.000 0.500 0.500
C1 C 0.500 0.500 0.500
```

Top 10 peaks for 15 to 90 degrees two-theta, by angle:
two_theta  I (rel.)  index
21.09  14  1 0 0
30.00  6  1 1 0
36.96  100  1 1 1
42.94  54  2 0 0
48.31  6  2 1 0
53.27  3  2 1 1
62.35  34  2 2 0
66.60  3  3 0 0
74.74  36  3 1 1
78.69  11  2 2 2

---

5.
Computed powder X-ray diffraction pattern of Pr5Ge3O13 for Cu Kα (λ = 1.5418 Å), from a crystal structure in the Materials Project, relaxed with PBE.
Peak positions follow from Bragg's law for the DFT cell and can differ from measured ones.

Cell and atoms:
```
data_Pr5Ge3O13
_cell_length_a 9.9299
_cell_length_b 9.9299
_cell_length_c 7.2845
_cell_angle_alpha 90.00
_cell_angle_beta 90.00
_cell_angle_gamma 120.00
_symmetry_space_group_name_H-M 'P 63/m'
_symmetry_Int_Tables_number 176
_symmetry_space_group_name_Hall '-P 6c'
loop_
_atom_site_label
_atom_site_type_symbol
_atom_site_fract_x
_atom_site_fract_y
_atom_site_fract_z
Pr1 Pr 0.0064 0.2383 0.2500
Pr2 Pr 0.3333 0.6667 0.5007
Ge1 Ge 0.0256 0.3985 0.7500
O1 O 0.0000 0.0000 0.2500
O2 O 0.0994 0.3472 0.5545
O3 O 0.1294 0.6068 0.7500
O4 O 0.1798 0.6894 0.2500
```

Top 10 peaks for 15 to 90 degrees two-theta, by angle:
two_theta  I (rel.)  index
26.58  27  1 0 2
27.44  30  2 1 0
30.11  100  2 1 1
30.44  61  1 1 2
31.20  36  3 0 0
44.15  31  2 2 2
46.69  32  2 1 3
48.51  19  1 4 0
49.21  20  4 0 2
59.43  17  5 0 2

---

Copy entry 4 word for word.
Computed powder X-ray diffraction pattern of ScPd3C for Cu Kα (λ = 1.5418 Å), from a crystal structure in the Materials Project, relaxed with PBE.
Peak positions follow from Bragg's law for the DFT cell and can differ from measured ones.

Cell and atoms:
```
data_ScPd3C
_cell_length_a 4.212
_cell_length_b 4.212
_cell_length_c 4.212
_cell_angle_alpha 90.00
_cell_angle_beta 90.00
_cell_angle_gamma 90.00
_symmetry_space_group_name_H-M 'P m -3 m'
_symmetry_Int_Tables_number 221
_symmetry_space_group_name_Hall '-P 4 2 3'
loop_
_atom_site_label
_atom_site_type_symbol
_atom_site_fract_x
_atom_site_fract_y
_atom_site_fract_z
Sc1 Sc 0.000 0.000 0.000
Pd1 Pd 0.000 0.500 0.500
C1 C 0.500 0.500 0.500
```

Top 10 peaks for 15 to 90 degrees two-theta, by angle:
two_theta  I (rel.)  index
21.09  14  1 0 0
30.00  6  1 1 0
36.96  100  1 1 1
42.94  54  2 0 0
48.31  6  2 1 0
53.27  3  2 1 1
62.35  34  2 2 0
66.60  3  3 0 0
74.74  36  3 1 1
78.69  11  2 2 2